[1]
Structure and simulated XRD peak list of Ce2ZnGaOs (DFT lattice parameters and positions (PBE); a wavelength of 1.5418 Å).

Peak list (12 most intense, 10° ≤ 2θ ≤ 90°, sorted by position)
d/Å  2theta  I/Imax  (hkl)
7.072  12.52  47.3  1 0 0
5.993  14.78  34.0  1 0 -1
2.840  31.50  44.9  1 0 2
2.742  32.65  100.0  2 1 -1
2.697  33.21  64.2  2 1 0
2.435  36.91  36.5  2 1 -2
2.355  38.22  13.0  3 0 0
2.348  38.33  51.8  1 1 2
2.129  42.45  35.3  1 1 -3
2.089  43.32  40.1  0 2 0
1.683  54.54  19.5  1 2 2
1.344  69.99  14.4  2 1 4

Atomic structure:
abc: 7.414 4.178 7.435
angles: 90.00 107.66 90.00
Fractional coordinates of all 10 atoms:
Ce1 0.039 0.250 0.209
Ce2 0.354 0.750 0.618
Ce3 0.646 0.250 0.382
Ce4 0.961 0.750 0.791
Zn1 0.337 0.750 0.170
Zn2 0.663 0.250 0.830
Ga1 0.346 0.250 0.960
Ga2 0.654 0.750 0.040
Os1 0.108 0.250 0.630
Os2 0.892 0.750 0.370


[2]
Structure and simulated XRD peak list of RbHg2TeAu (DFT lattice parameters and positions (PBE); a wavelength of 1.5418 Å).

Peak list (12 most intense, 10° ≤ 2θ ≤ 90°, sorted by position)
d/Å  2theta  I/Imax  (hkl)
5.828  15.20  66.7  0 0 1
5.491  16.14  45.1  1 0 0
3.997  22.24  20.1  1 0 1
3.231  27.61  80.2  1 1 1
2.914  30.68  58.6  0 0 2
2.746  32.61  100.0  2 0 0
2.484  36.16  35.3  2 0 1
1.998  45.39  80.7  2 0 2
1.942  46.79  41.3  2 2 0
1.664  55.19  23.4  3 1 1
1.616  57.00  41.2  2 2 2
1.132  85.89  27.1  4 2 2

Atomic structure:
abc: 5.491 5.491 5.828
angles: 90.00 90.00 90.00
Fractional coordinates of all 5 atoms:
Rb1 0.000 0.000 0.000
Hg1 0.000 0.500 0.500
Hg2 0.500 0.000 0.500
Te1 0.500 0.500 0.000
Au1 0.500 0.500 0.500


[3]
Structure and simulated XRD peak list of UCuBi2O8 (DFT lattice parameters and positions (PBE); a wavelength of 1.5418 Å).

Peak list (12 most intense, 10° ≤ 2θ ≤ 90°, sorted by position)
d/Å  2theta  I/Imax  (hkl)
3.886  22.89  32.0  1 0 -1
3.658  24.34  82.7  1 1 0
3.485  25.56  79.7  1 -1 0
2.995  29.84  100.0  0 1 2
2.719  32.94  59.6  0 1 -2
2.523  35.58  42.5  2 0 0
2.452  36.65  16.5  2 0 1
2.096  43.16  19.0  1 2 -1
2.053  44.12  32.5  1 2 2
1.903  47.80  32.7  -1 2 2
1.828  49.90  25.6  -2 1 2
1.801  50.70  17.0  1 2 -2

Atomic structure:
abc: 5.081 5.083 6.975
angles: 83.71 83.79 86.58
Fractional coordinates of all 12 atoms:
U1 0.000 0.000 0.000
Cu1 0.000 0.000 0.500
Bi1 0.462 0.462 0.265
Bi2 0.538 0.538 0.735
O1 0.148 0.150 0.256
O2 0.215 0.219 0.808
O3 0.274 0.727 0.500
O4 0.308 0.695 0.000
O5 0.692 0.305 0.000
O6 0.726 0.273 0.500
O7 0.785 0.781 0.192
O8 0.852 0.850 0.744